Structure and simulated powder X-ray diffraction pattern of KNa6TaO6 (a DFT-relaxed cell (PBE, OQMD); Cu Kα).

Crystal structure
a = 5.941 Å, b = 5.941 Å, c = 5.941 Å
α = 102.60°, β = 102.60°, γ = 102.60°
Fractional coordinates of all 14 atoms:
K  0.000  0.000  0.000
Na  0.159  0.500  0.841
Na  0.159  0.841  0.500
Na  0.500  0.159  0.841
Na  0.500  0.841  0.159
Na  0.841  0.159  0.500
Na  0.841  0.500  0.159
Ta  0.500  0.500  0.500
O  0.243  0.243  0.553
O  0.243  0.553  0.243
O  0.447  0.757  0.757
O  0.553  0.243  0.243
O  0.757  0.447  0.757
O  0.757  0.757  0.447

Top 10 peaks for 15° ≤ 2θ ≤ 90°, low angle first:
2θ/deg  I_rel
15.92  100
19.14  60
24.99  42
25.59  50
32.15  24
33.48  63
37.69  66
49.09  45
56.47  19
59.85  21

=====

Structure and simulated powder X-ray diffraction pattern of KNa3P2Pt2 (a DFT-relaxed cell (PBE, OQMD); Cu Kα).

Crystal structure
a = 5.673 Å, b = 5.630 Å, c = 5.770 Å
α = 90.00°, β = 105.30°, γ = 90.00°
Fractional coordinates of all 8 atoms:
K  0.000  0.000  0.000
Na  0.301  0.500  0.305
Na  0.636  0.000  0.345
Na  0.934  0.500  0.641
P  0.203  0.000  0.554
P  0.718  0.500  0.096
Pt  0.472  0.257  0.799
Pt  0.472  0.743  0.799

Top 10 peaks for 15° ≤ 2θ ≤ 90°, low angle first:
2θ/deg  I_rel
15.92  100
16.20  88
19.52  74
25.67  22
32.00  29
32.43  30
35.74  38
35.87  45
37.58  30
41.29  34

=====

Structure and simulated powder X-ray diffraction pattern of K2Na2ZnP2 (a DFT-relaxed cell (PBE, OQMD); Cu Kα).

Crystal structure
a = 9.353 Å, b = 9.353 Å, c = 9.353 Å
α = 32.19°, β = 32.19°, γ = 32.19°
Fractional coordinates of all 7 atoms:
K  0.207  0.207  0.207
K  0.793  0.793  0.793
Na  0.389  0.389  0.389
Na  0.611  0.611  0.611
Zn  0.000  0.000  0.000
P  0.083  0.083  0.083
P  0.917  0.917  0.917

Top 10 peaks for 15° ≤ 2θ ≤ 90°, low angle first:
2θ/deg  I_rel
20.05  75
25.97  64
34.59  100
39.39  44
43.76  15
53.41  17
56.94  13
61.99  16
63.60  11
65.21  18

=====

Structure and simulated powder X-ray diffraction pattern of K4Na2PdPt (a DFT-relaxed cell (PBE, OQMD); Cu Kα).

Crystal structure
a = 4.839 Å, b = 10.061 Å, c = 5.954 Å
α = 90.00°, β = 113.95°, γ = 90.00°
Fractional coordinates of all 8 atoms:
K  0.000  0.172  0.000
K  0.000  0.828  0.000
K  0.704  0.320  0.409
K  0.704  0.680  0.409
Na  0.295  0.000  0.592
Na  0.408  0.500  0.815
Pd  0.063  0.500  0.124
Pt  0.645  0.000  0.292

Top 10 peaks for 15° ≤ 2θ ≤ 90°, low angle first:
2θ/deg  I_rel
16.29  67
17.63  46
21.96  82
24.09  28
30.81  61
31.33  44
32.10  57
33.54  100
37.16  31
49.36  48

=====

Please write out number 2 again, unchanged.
Structure and simulated powder X-ray diffraction pattern of KNa3P2Pt2 (a DFT-relaxed cell (PBE, OQMD); Cu Kα).

Crystal structure
a = 5.673 Å, b = 5.630 Å, c = 5.770 Å
α = 90.00°, β = 105.30°, γ = 90.00°
Fractional coordinates of all 8 atoms:
K  0.000  0.000  0.000
Na  0.301  0.500  0.305
Na  0.636  0.000  0.345
Na  0.934  0.500  0.641
P  0.203  0.000  0.554
P  0.718  0.500  0.096
Pt  0.472  0.257  0.799
Pt  0.472  0.743  0.799

Top 10 peaks for 15° ≤ 2θ ≤ 90°, low angle first:
2θ/deg  I_rel
15.92  100
16.20  88
19.52  74
25.67  22
32.00  29
32.43  30
35.74  38
35.87  45
37.58  30
41.29  34